Structure and calculated X-ray diffraction stick pattern of Ba2CuO6 (the GGA-PBE geometry in the Materials Project; CuKα).
Neutral-atom scattering factors, no anomalous dispersion.

The 10 most intense peaks (15° ≤ 2θ ≤ 90°), low angle first:
d = 4.563 Å, 2θ = 19.46°, I = 47, hkl 1 0 0; d = 4.174 Å, 2θ = 21.29°, I = 52, hkl 1 1 -1; d = 3.765 Å, 2θ = 23.63°, I = 52, hkl 1 1 -2; d = 3.353 Å, 2θ = 26.59°, I = 42, hkl 0 2 0; d = 3.130 Å, 2θ = 28.52°, I = 48, hkl 0 2 1; d = 3.023 Å, 2θ = 29.55°, I = 90, hkl 1 1 1; d = 3.009 Å, 2θ = 29.69°, I = 100, hkl 1 1 -3; d = 2.667 Å, 2θ = 33.60°, I = 56, hkl 2 0 -2; d = 2.181 Å, 2θ = 41.39°, I = 39, hkl 0 0 4; d = 2.006 Å, 2θ = 45.20°, I = 56, hkl 1 3 -2

Structure:
```
data_Ba2CuO6
_chemical_formula_sum 'Ba4 Cu2 O12'
_cell_length_a 5.3335
_cell_length_b 6.7053
_cell_length_c 10.2001
_cell_angle_alpha 90.00
_cell_angle_beta 121.19
_cell_angle_gamma 90.00
_space_group_name_H-M_alt 'P 1 21/c 1'
_space_group_IT_number 14
loop_
_space_group_symop_operation_xyz
'x,y,z'
'-x,-y,-z'
'-x,y+1/2,-z+1/2'
'x,-y+1/2,z+1/2'
loop_
_atom_site_label
_atom_site_fract_x
_atom_site_fract_y
_atom_site_fract_z
Ba1 0.2106 0.0674 0.2382
Cu1 0.0000 0.0000 0.5000
O1 0.1057 0.2491 0.4655
O2 0.2487 0.0258 0.7118
O3 0.2608 0.6755 0.9892
```